No. 1
The following is a calculated powder diffractogram of SmGe2Ru2. It was derived from the GGA-PBE geometry in the Materials Project, using λ = 1.5418 Å (Cu Kα).

Crystal structure
Cell lengths 4.2865, 4.2865, 10.0171 Å; angles 90.00, 90.00, 90.00 degrees
Space group I4/mmm (No. 139)
Symmetry-distinct sites (fractional):
Sm 0.0000 0.0000 0.0000 (multiplicity 2)
Ge 0.0000 0.0000 0.3683 (multiplicity 4)
Ru 0.0000 0.5000 0.2500 (multiplicity 4)

Most intense lines, 5 to 70 degrees two-theta, low angle first:
hkl  two_theta  I_rel
1 0 3  34.03  64
1 1 2  34.59  100
2 0 0  42.16  63
1 1 4  47.07  15
1 0 5  50.27  16
2 1 3  55.25  32
2 0 4  56.52  9
2 2 0  61.15  20
1 1 6  63.63  22
2 1 5  67.64  13


No. 2
The following is a calculated powder diffractogram of Sm2Ge2Ru. It was derived from the GGA-PBE geometry in the Materials Project, using λ = 1.5418 Å (Cu Kα).

Crystal structure
Cell lengths 11.0774, 4.3395, 10.4815 Å; angles 90.00, 119.19, 90.00 degrees
Space group C2/m (No. 12)
Symmetry-distinct sites (fractional):
Sm 0.0019 0.0000 0.1739 (multiplicity 4)
Sm 0.1849 0.0000 0.6102 (multiplicity 4)
Ge 0.0061 0.5000 0.3734 (multiplicity 4)
Ge 0.1502 0.5000 0.0666 (multiplicity 4)
Ru 0.2266 0.5000 0.8752 (multiplicity 4)

Most intense lines, 5 to 70 degrees two-theta, low angle first:
hkl  two_theta  I_rel
3 1 -1  32.05  94
4 0 -2  32.38  88
1 1 2  32.74  100
2 0 2  32.86  34
1 1 -3  33.32  100
3 1 -3  35.64  97
0 0 4  39.39  47
3 1 1  39.74  90
0 2 0  41.62  88
7 1 -3  62.52  44


No. 3
The following is a calculated powder diffractogram of Sm3Ge2Ru2. It was derived from the GGA-PBE geometry in the Materials Project, using λ = 1.5418 Å (Cu Kα).

Crystal structure
Cell lengths 5.6853, 7.9241, 13.6269 Å; angles 90.00, 90.00, 90.00 degrees
Space group Pbcm (No. 57)
Symmetry-distinct sites (fractional):
Sm 0.1309 0.2371 0.2500 (multiplicity 4)
Sm 0.3481 0.5979 0.0988 (multiplicity 8)
Ge 0.1173 0.2500 0.0000 (multiplicity 4)
Ge 0.3650 0.6118 0.7500 (multiplicity 4)
Ru 0.1475 0.5322 0.5907 (multiplicity 8)

Most intense lines, 5 to 70 degrees two-theta, low angle first:
hkl  two_theta  I_rel
0 2 3  29.93  28
1 1 4  32.66  50
2 1 0  33.49  56
1 2 3  33.91  51
2 1 1  34.15  26
0 2 4  34.73  55
1 3 0  37.55  75
2 1 3  39.07  100
0 0 6  39.69  40
3 2 3  57.61  27


No. 4
The following is a calculated powder diffractogram of Sm2Ge5Ru3. It was derived from the GGA-PBE geometry in the Materials Project, using λ = 1.5418 Å (Cu Kα).

Crystal structure
Cell lengths 9.9717, 12.5705, 5.8496 Å; angles 90.00, 90.00, 90.00 degrees
Space group Ibam (No. 72)
Symmetry-distinct sites (fractional):
Sm 0.2313 0.1390 0.0000 (multiplicity 8)
Ge 0.0000 0.0000 0.2500 (multiplicity 4)
Ge 0.0000 0.2922 0.2500 (multiplicity 8)
Ge 0.1747 0.4118 0.0000 (multiplicity 8)
Ru 0.0000 0.5000 0.2500 (multiplicity 4)
Ru 0.0913 0.1469 0.5000 (multiplicity 8)

Most intense lines, 5 to 70 degrees two-theta, low angle first:
hkl  two_theta  I_rel
2 4 0  33.72  67
3 2 1  34.15  100
2 0 2  35.59  85
4 0 0  36.03  18
1 3 2  38.61  25
4 1 1  39.96  29
0 4 2  42.21  86
3 6 1  54.08  25
3 2 3  56.66  39
0 0 4  63.63  19


No. 5
The following is a calculated powder diffractogram of SrGe2Ru2. It was derived from the GGA-PBE geometry in the Materials Project, using λ = 1.5418 Å (Cu Kα).

Crystal structure
Cell lengths 4.3493, 4.3493, 10.3861 Å; angles 90.00, 90.00, 90.00 degrees
Space group I4/mmm (No. 139)
Symmetry-distinct sites (fractional):
Sr 0.0000 0.0000 0.0000 (multiplicity 2)
Ge 0.0000 0.0000 0.3596 (multiplicity 4)
Ru 0.0000 0.5000 0.2500 (multiplicity 4)

Most intense lines, 5 to 70 degrees two-theta, low angle first:
hkl  two_theta  I_rel
0 0 2  17.07  43
1 0 3  33.07  74
1 1 2  33.88  100
2 0 0  41.53  79
2 0 2  45.20  13
1 1 4  45.73  40
1 0 5  48.57  9
2 1 3  54.08  36
2 2 0  60.18  26
1 1 6  61.47  35


No. 6
The following is a calculated powder diffractogram of Tb3Ge3Ru2. It was derived from the GGA-PBE geometry in the Materials Project, using λ = 1.5418 Å (Cu Kα).

Crystal structure
Cell lengths 4.3090, 10.9174, 14.0554 Å; angles 90.00, 90.00, 90.00 degrees
Space group Cmcm (No. 63)
Symmetry-distinct sites (fractional):
Tb 0.0000 0.0786 0.1135 (multiplicity 8)
Tb 0.0000 0.3532 0.2500 (multiplicity 4)
Ge 0.0000 0.3331 0.7500 (multiplicity 4)
Ge 0.0000 0.3818 0.0415 (multiplicity 8)
Ru 0.0000 0.2138 0.5806 (multiplicity 8)

Most intense lines, 5 to 70 degrees two-theta, low angle first:
hkl  two_theta  I_rel
1 3 1  32.83  79
1 1 4  33.93  100
0 2 5  35.93  29
1 3 3  37.62  68
0 4 3  38.16  22
0 0 6  38.43  26
1 3 4  41.41  23
2 0 0  41.93  59
0 6 4  56.97  19
1 7 0  63.43  21


No. 7
The following is a calculated powder diffractogram of Tb2Ge2Ru. It was derived from the GGA-PBE geometry in the Materials Project, using λ = 1.5418 Å (Cu Kα).

Crystal structure
Cell lengths 10.8607, 4.3048, 10.2640 Å; angles 90.00, 118.51, 90.00 degrees
Space group C2/m (No. 12)
Symmetry-distinct sites (fractional):
Tb 0.0020 0.0000 0.1737 (multiplicity 4)
Tb 0.1842 0.0000 0.6120 (multiplicity 4)
Ge 0.0105 0.5000 0.3750 (multiplicity 4)
Ge 0.1458 0.5000 0.0644 (multiplicity 4)
Ru 0.2286 0.5000 0.8721 (multiplicity 4)

Most intense lines, 5 to 70 degrees two-theta, low angle first:
hkl  two_theta  I_rel
3 1 -1  32.51  80
4 0 -2  33.00  85
1 1 2  33.07  100
1 1 -3  33.81  82
3 1 -3  36.34  93
0 0 4  39.99  43
3 1 1  40.16  84
0 2 0  41.98  85
6 0 0  58.01  31
7 1 -3  63.79  39


No. 8
The following is a calculated powder diffractogram of TiGeRu. It was derived from the GGA-PBE geometry in the Materials Project, using λ = 1.5418 Å (Cu Kα).

Crystal structure
Cell lengths 7.2428, 11.4579, 6.6163 Å; angles 90.00, 90.00, 90.00 degrees
Space group Ima2 (No. 46)
Symmetry-distinct sites (fractional):
Ti 0.2500 0.0016 0.0000 (multiplicity 4)
Ti 0.2500 0.2227 0.6450 (multiplicity 4)
Ti 0.2500 0.6952 0.1169 (multiplicity 4)
Ge 0.0039 0.6676 0.4208 (multiplicity 8)
Ge 0.2500 0.0318 0.4103 (multiplicity 4)
Ru 0.0000 0.0000 0.6720 (multiplicity 4)
Ru 0.0384 0.6269 0.7931 (multiplicity 8)

Most intense lines, 5 to 70 degrees two-theta, low angle first:
hkl  two_theta  I_rel
0 1 1  15.47  19
2 0 0  24.58  27
0 0 2  26.95  25
2 3 1  36.80  94
2 2 2  40.13  100
0 1 3  41.71  72
0 3 3  47.61  36
2 1 3  49.01  60
4 0 0  50.40  27
4 1 3  67.42  21


No. 9
The following is a calculated powder diffractogram of TmGe2Ru2. It was derived from the GGA-PBE geometry in the Materials Project, using λ = 1.5418 Å (Cu Kα).

Crystal structure
Cell lengths 4.2640, 4.2640, 9.7882 Å; angles 90.00, 90.00, 90.00 degrees
Space group I4/mmm (No. 139)
Symmetry-distinct sites (fractional):
Tm 0.0000 0.0000 0.0000 (multiplicity 2)
Ge 0.0000 0.0000 0.3704 (multiplicity 4)
Ru 0.0000 0.5000 0.2500 (multiplicity 4)

Most intense lines, 5 to 70 degrees two-theta, low angle first:
hkl  two_theta  I_rel
1 0 3  34.62  62
1 1 2  34.95  100
2 0 0  42.40  60
1 1 4  47.88  11
1 0 5  51.36  17
2 1 3  55.84  31
2 0 4  57.32  9
2 2 0  61.51  20
1 1 6  65.00  19
2 1 5  68.72  14


No. 10
The following is a calculated powder diffractogram of Tm2Ge5Ru3. It was derived from the GGA-PBE geometry in the Materials Project, using λ = 1.5418 Å (Cu Kα).

Crystal structure
Cell lengths 9.8323, 12.4875, 5.7423 Å; angles 90.00, 90.00, 90.00 degrees
Space group Ibam (No. 72)
Symmetry-distinct sites (fractional):
Tm 0.2314 0.1392 0.0000 (multiplicity 8)
Ge 0.0000 0.0000 0.2500 (multiplicity 4)
Ge 0.0000 0.2931 0.2500 (multiplicity 8)
Ge 0.1762 0.4123 0.0000 (multiplicity 8)
Ru 0.0000 0.5000 0.2500 (multiplicity 4)
Ru 0.0917 0.1480 0.5000 (multiplicity 8)

Most intense lines, 5 to 70 degrees two-theta, low angle first:
hkl  two_theta  I_rel
0 4 0  28.59  19
0 0 2  31.15  19
2 4 0  34.00  78
3 2 1  34.63  100
2 0 2  36.23  84
1 3 2  39.20  23
4 1 1  40.57  28
0 4 2  42.79  82
4 3 1  45.68  22
3 2 3  57.70  23


No. 11
The following is a calculated powder diffractogram of YGe2Ru2. It was derived from the GGA-PBE geometry in the Materials Project, using λ = 1.5418 Å (Cu Kα).

Crystal structure
Cell lengths 4.2718, 4.2718, 9.9129 Å; angles 90.00, 90.00, 90.00 degrees
Space group I4/mmm (No. 139)
Symmetry-distinct sites (fractional):
Y 0.0000 0.0000 0.0000 (multiplicity 2)
Ge 0.0000 0.0000 0.3698 (multiplicity 4)
Ru 0.0000 0.5000 0.2500 (multiplicity 4)

Most intense lines, 5 to 70 degrees two-theta, low angle first:
hkl  two_theta  I_rel
0 0 2  17.90  26
1 0 3  34.31  54
1 1 2  34.78  100
2 0 0  42.31  70
1 1 4  47.45  35
1 0 5  50.77  13
2 1 3  55.57  27
2 2 0  61.39  23
1 1 6  64.26  21
2 1 5  68.17  10


No. 12
The following is a calculated powder diffractogram of GeS. It was derived from the GGA-PBE geometry in the Materials Project, using λ = 1.5418 Å (Cu Kα).

Crystal structure
Cell lengths 3.8883, 11.1901, 3.8890 Å; angles 90.00, 90.00, 90.00 degrees
Space group Cmcm (No. 63)
Symmetry-distinct sites (fractional):
Ge 0.0000 0.1396 0.2500 (multiplicity 4)
S 0.0000 0.3525 0.2500 (multiplicity 4)

Most intense lines, 5 to 70 degrees two-theta, low angle first:
hkl  two_theta  I_rel
0 2 0  15.84  13
1 1 0  24.23  12
0 2 1  27.94  19
0 4 0  31.99  39
1 1 1  33.56  100
1 3 1  40.77  19
2 0 0  46.72  31
1 5 1  52.74  40
2 4 0  57.74  27
2 0 2  68.22  10


No. 13
The following is a calculated powder diffractogram of GeS. It was derived from the GGA-PBE geometry in the Materials Project, using λ = 1.5418 Å (Cu Kα).

Crystal structure
Cell lengths 10.7696, 3.6659, 4.4545 Å; angles 90.00, 90.00, 90.00 degrees
Space group Pnma (No. 62)
Symmetry-distinct sites (fractional):
Ge 0.1257 0.2500 0.1353 (multiplicity 4)
S 0.1528 0.7500 0.4979 (multiplicity 4)

Most intense lines, 5 to 70 degrees two-theta, low angle first:
hkl  two_theta  I_rel
2 0 1  25.96  76
2 1 0  29.48  32
0 1 1  31.61  44
1 1 1  32.71  100
4 0 0  33.28  62
3 1 1  40.58  28
4 1 1  46.55  30
1 1 2  48.57  23
0 2 0  49.74  22
5 1 1  53.45  28